For Cd3Te2Br2O6, a crystal structure in OQMD, relaxed with PBE gives the theoretical X-ray powder pattern in this record (Cu Kα).

Cell and atoms:
```
data_Cd3Te2Br2O6
_chemical_formula_sum 'Cd3 Te2 Br2 O6'
_space_group_name_H-M_alt 'P 1'
_space_group_IT_number 1
_cell_length_a 6.127
_cell_length_b 6.127
_cell_length_c 8.017
_cell_angle_alpha 110.79
_cell_angle_beta 110.79
_cell_angle_gamma 69.33
loop_
_space_group_symop_operation_xyz
'x,y,z'
loop_
_atom_site_label
_atom_site_type_symbol
_atom_site_fract_x
_atom_site_fract_y
_atom_site_fract_z
Cd1 Cd 0.000 0.000 0.000
Cd2 Cd 0.446 0.446 0.192
Cd3 Cd 0.554 0.554 0.808
Te1 Te 0.153 0.153 0.718
Te2 Te 0.847 0.847 0.282
Br1 Br 0.282 0.282 0.385
Br2 Br 0.718 0.718 0.615
O1 O 0.097 0.725 0.159
O2 O 0.275 0.903 0.841
O3 O 0.355 0.355 0.870
O4 O 0.645 0.645 0.130
O5 O 0.725 0.097 0.159
O6 O 0.903 0.275 0.841
```

Most intense lines, 2θ = 5–70°, in order of rising 2θ:
| Position (°2θ) | Rel. int. |
| --- | --- |
| 24.62 | 17 |
| 25.56 | 100 |
| 27.31 | 86 |
| 31.92 | 95 |
| 36.54 | 52 |
| 37.75 | 52 |
| 47.83 | 36 |
| 49.23 | 34 |
| 52.55 | 37 |
| 59.05 | 9 |
| 60.20 | 15 |
| 61.63 | 24 |